Starting from DFT lattice parameters and positions (GGA-PBE), the X-ray diffraction stick pattern of La13Tm3 was calculated for Cu Kα (λ = 1.5418 Å).

The 12 most intense peaks (2θ = 15–90°), sorted by position:
2θ/deg	I (rel.)
27.66	236
29.92	254
31.53	1000
41.20	161
48.92	195
54.13	214
58.41	227
59.37	163
75.94	78
80.42	135
82.86	55
86.97	55

Structural model:
```
La13Tm3
1.0
7.4429 0.0000 0.0000
0.0000 5.9735 6.4525
0.0000 -5.9735 6.4525
La Tm
13 3
Direct
0.0000 0.0001 0.0001
0.0000 0.4137 0.9264
0.0000 0.5000 0.5000
0.0000 0.9264 0.4137
0.2509 0.7483 0.7483
0.2528 0.1729 0.6637
0.2528 0.6637 0.1729
0.5000 0.0027 0.0027
0.5000 0.4138 0.9230
0.5000 0.9230 0.4138
0.7472 0.1729 0.6637
0.7472 0.6637 0.1729
0.7491 0.7483 0.7483
0.2512 0.2548 0.2548
0.5000 0.4966 0.4966
0.7488 0.2548 0.2548
```